Theoretical XRD peak list
Compound: Ac2Sm7Dy4
Radiation: Cu Ka
Structure: the GGA-PBE geometry in Alexandria
No peak broadening, texture or thermal motion is included.

Top 10 peaks for 10° ≤ 2θ ≤ 90°, sorted by position:
2θ = 26.70°, d 3.339, I 20
2θ = 28.43°, d 3.139, I 17
2θ = 29.22°, d 3.056, I 28
2θ = 31.48°, d 2.842, I 100
2θ = 34.97°, d 2.565, I 25
2θ = 50.25°, d 1.816, I 15
2θ = 50.35°, d 1.812, I 23
2θ = 57.89°, d 1.593, I 12
2θ = 60.60°, d 1.528, I 12
2θ = 77.74°, d 1.228, I 13

```
Ac2Sm7Dy4
1.0
6.2782 0.0000 0.0000
-3.1391 5.4371 0.0000
0.0000 0.0000 13.3559
Ac Sm Dy
2 7 4
Direct
0.3333 0.6667 0.0000 Ac
0.6667 0.3333 0.0000 Ac
0.0000 0.0000 0.0000 Sm
0.0000 0.3662 0.7739 Sm
0.0000 0.6338 0.2261 Sm
0.3662 0.0000 0.7739 Sm
0.3662 0.3662 0.2261 Sm
0.6338 0.0000 0.2261 Sm
0.6338 0.6338 0.7739 Sm
0.0000 0.0000 0.3946 Dy
0.0000 0.0000 0.6054 Dy
0.3333 0.6667 0.5000 Dy
0.6667 0.3333 0.5000 Dy
```

---

Theoretical XRD peak list
Compound: Sm12Ho5Er2
Radiation: Cu Ka
Structure: the GGA-PBE geometry in Alexandria
No peak broadening, texture or thermal motion is included.

Top 10 peaks for 10° ≤ 2θ ≤ 90°, sorted by position:
2θ = 30.70°, d 2.913, I 100
2θ = 31.01°, d 2.884, I 78
2θ = 34.44°, d 2.604, I 35
2θ = 35.25°, d 2.546, I 29
2θ = 37.58°, d 2.394, I 23
2θ = 50.11°, d 1.821, I 19
2θ = 51.88°, d 1.762, I 16
2θ = 59.38°, d 1.556, I 12
2θ = 60.82°, d 1.523, I 14
2θ = 63.94°, d 1.456, I 23

```
Sm12Ho5Er2
1.0
7.6544 -5.2083 0.0000
7.6544 5.2083 0.0000
-0.3868 0.0000 7.9629
Sm Ho Er
12 5 2
Direct
0.0527 0.0527 0.2099 Sm
0.0809 0.5408 0.7061 Sm
0.1206 0.6676 0.1128 Sm
0.3324 0.8794 0.8872 Sm
0.3609 0.3609 0.3878 Sm
0.4592 0.9191 0.2939 Sm
0.5408 0.0809 0.7061 Sm
0.6391 0.6391 0.6122 Sm
0.6676 0.1206 0.1128 Sm
0.8794 0.3324 0.8872 Sm
0.9191 0.4592 0.2939 Sm
0.9473 0.9473 0.7901 Sm
0.1537 0.1537 0.5895 Ho
0.2566 0.2566 0.0130 Ho
0.5000 0.5000 0.0000 Ho
0.7434 0.7434 0.9870 Ho
0.8463 0.8463 0.4105 Ho
0.2389 0.7611 0.5000 Er
0.7611 0.2389 0.5000 Er
```

---

Theoretical XRD peak list
Compound: Pr5Nd8Cd
Radiation: Cu Ka
Structure: the GGA-PBE geometry in Alexandria
No peak broadening, texture or thermal motion is included.

Top 10 peaks for 10° ≤ 2θ ≤ 90°, sorted by position:
2θ = 23.92°, d 3.719, I 23
2θ = 29.10°, d 3.068, I 31
2θ = 30.51°, d 2.930, I 66
2θ = 30.62°, d 2.919, I 32
2θ = 30.74°, d 2.908, I 100
2θ = 31.62°, d 2.830, I 42
2θ = 31.76°, d 2.818, I 26
2θ = 32.06°, d 2.792, I 21
2θ = 32.72°, d 2.737, I 20
2θ = 55.92°, d 1.644, I 24

```
Pr5Nd8Cd
1.0
7.8992 -4.3252 0.0000
7.8992 4.3252 0.0000
-4.7325 0.0000 7.3099
Pr Nd Cd
5 8 1
Direct
0.0000 0.0000 0.0000 Pr
0.2301 0.5744 0.0455 Pr
0.4256 0.7699 0.9545 Pr
0.6151 0.2885 0.7362 Pr
0.7115 0.3849 0.2638 Pr
0.0723 0.5593 0.5762 Nd
0.0742 0.1750 0.6809 Nd
0.3812 0.2878 0.2963 Nd
0.4407 0.9277 0.4238 Nd
0.5356 0.0765 0.9261 Nd
0.7122 0.6188 0.7037 Nd
0.8250 0.9258 0.3191 Nd
0.9235 0.4644 0.0739 Nd
0.2762 0.7238 0.5000 Cd
```

---

Theoretical XRD peak list
Compound: Gd2Pa
Radiation: Cu Ka
Structure: the GGA-PBE geometry in Alexandria
No peak broadening, texture or thermal motion is included.

Top 10 peaks for 10° ≤ 2θ ≤ 90°, sorted by position:
2θ = 11.64°, d 7.603, I 11
2θ = 31.64°, d 2.828, I 100
2θ = 35.42°, d 2.534, I 17
2θ = 37.31°, d 2.410, I 33
2θ = 52.39°, d 1.746, I 22
2θ = 53.80°, d 1.704, I 12
2θ = 61.23°, d 1.514, I 12
2θ = 63.77°, d 1.460, I 27
2θ = 66.07°, d 1.414, I 11
2θ = 85.88°, d 1.132, I 10

```
Gd2Pa
1.0
-1.7040 1.7040 7.6030
1.7040 -1.7040 7.6030
1.7040 1.7040 -7.6030
Gd Pa
2 1
Direct
0.1544 0.1544 0.0000 Gd
0.8456 0.8456 0.0000 Gd
0.5000 0.5000 0.0000 Pa
```